The following is a theoretical XRD peak list of Dy5CdSn2. It was derived from a cell relaxed with PBE, using Cu Kα X-rays.

Atomic structure:
a b c (Å): 5.3616 11.3578 15.6337
angles (deg): 90.00 90.00 90.00
Space group Cmcm (No. 63)
One atom of each set of equivalent atoms:
Dy1 0.0000 0.0743 0.0938
Dy2 0.0000 0.3822 0.0581
Dy3 0.0000 0.4072 0.7500
Cd1 0.0000 0.2838 0.2500
Sn1 0.0000 0.2220 0.6068

Principal peaks in the range 15 to 90 degrees two-theta, in order of rising 2θ:
29.4°, d 3.042, rel. 30, hkl 1 1 4
32.0°, d 2.794, rel. 12, hkl 0 4 1
33.4°, d 2.681, rel. 36, hkl 2 0 0
33.7°, d 2.660, rel. 100, hkl 1 3 3
34.1°, d 2.628, rel. 10, hkl 1 1 5
34.4°, d 2.606, rel. 21, hkl 0 0 6
47.0°, d 1.934, rel. 8, hkl 2 4 1
48.7°, d 1.868, rel. 15, hkl 2 0 6
59.9°, d 1.544, rel. 19, hkl 3 3 3
62.4°, d 1.488, rel. 10, hkl 1 1 10

The following is a theoretical XRD peak list of Sr2DyCd. It was derived from a cell relaxed with PBE, using Cu Kα X-rays.

Atomic structure:
a b c (Å): 4.2727 4.2727 8.0739
angles (deg): 90.00 90.00 90.00
Space group P4/mmm (No. 123)
One atom of each set of equivalent atoms:
Sr1 0.0000 0.0000 0.2317
Dy1 0.5000 0.5000 0.5000
Cd1 0.5000 0.5000 0.0000

Principal peaks in the range 15 to 90 degrees two-theta, in order of rising 2θ:
29.6°, d 3.021, rel. 55, hkl 1 1 0
30.5°, d 2.934, rel. 100, hkl 1 0 2
42.3°, d 2.136, rel. 21, hkl 2 0 0
53.0°, d 1.727, rel. 41, hkl 2 1 2
54.7°, d 1.678, rel. 18, hkl 1 1 4
63.4°, d 1.467, rel. 11, hkl 2 0 4
69.6°, d 1.351, rel. 9, hkl 3 1 0
70.1°, d 1.343, rel. 9, hkl 3 0 2
85.4°, d 1.137, rel. 11, hkl 3 2 2
86.7°, d 1.123, rel. 10, hkl 3 1 4

The following is a theoretical XRD peak list of Tb7Dy3Cd. It was derived from a cell relaxed with PBE, using Cu Kα X-rays.

Atomic structure:
a b c (Å): 6.9586 6.9586 8.5272
angles (deg): 90.00 90.00 120.00
Space group P3m1 (No. 156)
One atom of each set of equivalent atoms:
Tb1 0.0000 0.0000 0.0000
Tb2 0.1637 0.3274 0.3332
Tb3 0.5008 0.0016 0.0064
Dy1 0.3305 0.1652 0.6701
Cd1 0.6667 0.3333 0.3344

Principal peaks in the range 15 to 90 degrees two-theta, in order of rising 2θ:
18.0°, d 4.921, rel. 6, hkl 1 0 1
25.6°, d 3.480, rel. 4, hkl 0 1 2
31.5°, d 2.841, rel. 100, hkl 0 2 1
36.5°, d 2.461, rel. 51, hkl 2 0 2
52.6°, d 1.740, rel. 35, hkl 2 2 0
62.6°, d 1.484, rel. 42, hkl 4 0 1
65.7°, d 1.421, rel. 12, hkl 0 4 2
77.6°, d 1.230, rel. 6, hkl 4 0 4
86.1°, d 1.129, rel. 18, hkl 2 4 1
88.9°, d 1.100, rel. 17, hkl 4 2 2

The following is a theoretical XRD peak list of Tb2DyCd. It was derived from a cell relaxed with PBE, using Cu Kα X-rays.

Atomic structure:
a b c (Å): 3.5913 3.5913 9.0645
angles (deg): 90.00 90.00 90.00
Space group P4/mmm (No. 123)
One atom of each set of equivalent atoms:
Tb1 0.0000 0.0000 0.2280
Dy1 0.5000 0.5000 0.5000
Cd1 0.5000 0.5000 0.0000

Principal peaks in the range 15 to 90 degrees two-theta, in order of rising 2θ:
31.8°, d 2.815, rel. 100, hkl 1 0 2
35.3°, d 2.539, rel. 39, hkl 1 1 0
39.8°, d 2.266, rel. 12, hkl 0 0 4
50.8°, d 1.796, rel. 14, hkl 2 0 0
54.3°, d 1.691, rel. 19, hkl 1 1 4
61.2°, d 1.514, rel. 30, hkl 2 1 2
66.4°, d 1.407, rel. 10, hkl 2 0 4
67.2°, d 1.393, rel. 8, hkl 1 0 6
83.5°, d 1.157, rel. 6, hkl 3 0 2
88.9°, d 1.100, rel. 8, hkl 2 1 6

The following is a theoretical XRD peak list of Tb4DyCd3. It was derived from a cell relaxed with PBE, using Cu Kα X-rays.

Atomic structure:
a b c (Å): 3.7583 5.3896 10.9493
angles (deg): 90.00 90.00 90.00
Space group Pmmm (No. 47)
One atom of each set of equivalent atoms:
Tb1 0.0000 0.0000 0.0000
Tb2 0.0000 0.0000 0.5000
Tb3 0.0000 0.5000 0.2373
Dy1 0.5000 0.5000 0.5000
Cd1 0.5000 0.0000 0.2521
Cd2 0.5000 0.5000 0.0000

Principal peaks in the range 15 to 90 degrees two-theta, in order of rising 2θ:
32.7°, d 2.737, rel. 26, hkl 0 0 4
33.2°, d 2.695, rel. 25, hkl 0 2 0
33.4°, d 2.686, rel. 100, hkl 1 1 2
47.3°, d 1.920, rel. 18, hkl 0 2 4
48.4°, d 1.879, rel. 9, hkl 2 0 0
58.8°, d 1.570, rel. 18, hkl 1 1 6
59.5°, d 1.554, rel. 19, hkl 1 3 2
59.7°, d 1.549, rel. 10, hkl 2 0 4
60.0°, d 1.541, rel. 9, hkl 2 2 0
70.1°, d 1.343, rel. 11, hkl 2 2 4

The following is a theoretical XRD peak list of Tb8DyCd6. It was derived from a cell relaxed with PBE, using Cu Kα X-rays.

Atomic structure:
a b c (Å): 8.9913 8.9913 19.1760
angles (deg): 90.00 90.00 120.00
Space group R-3 (No. 148, hexagonal axes)
One atom of each set of equivalent atoms:
Tb1 0.0000 0.0000 0.1664
Tb2 0.9996 0.3331 0.0502
Dy1 0.0000 0.0000 0.5000
Cd1 0.9999 0.3325 0.5513

Principal peaks in the range 15 to 90 degrees two-theta, in order of rising 2θ:
19.7°, d 4.496, rel. 10, hkl 1 1 0
24.2°, d 3.677, rel. 35, hkl 1 1 3
34.4°, d 2.605, rel. 100, hkl 2 -1 6
34.6°, d 2.596, rel. 94, hkl 3 0 0
49.6°, d 1.839, rel. 35, hkl 2 2 6
61.6°, d 1.506, rel. 16, hkl 1 1 12
61.9°, d 1.500, rel. 53, hkl 3 3 0
72.9°, d 1.298, rel. 11, hkl 6 0 0
82.9°, d 1.164, rel. 14, hkl 4 1 12
83.2°, d 1.162, rel. 16, hkl 5 2 6